1.
This entry pairs a crystal structure of Ho2Ti2O7 with its simulated powder diffractogram. Radiation: Cu Kα (weighted mean of Kα1 and Kα2). Structure: DFT lattice parameters and positions (PBE).

The 12 most intense peaks (10° ≤ 2θ ≤ 90°), sorted by position:
21.53 deg, intensity 57
27.42 deg, intensity 33
29.22 deg, intensity 37
30.81 deg, intensity 100
32.22 deg, intensity 26
33.55 deg, intensity 33
33.82 deg, intensity 48
43.86 deg, intensity 20
48.29 deg, intensity 25
48.45 deg, intensity 27
51.84 deg, intensity 19
60.13 deg, intensity 31

Atomic structure:
Cell: 7.5388 5.3415 13.1485 Å, 90.00 98.35 90.00°
Sites, in units of the cell vectors:
1 Ho 0.1425 0.0000 0.0637
2 Ho 0.2330 0.4132 0.4212
3 Ho 0.2853 0.8888 0.6332
4 Ho 0.3544 0.4200 0.8865
5 Ho 0.6456 0.9200 0.1135
6 Ho 0.7147 0.3888 0.3668
7 Ho 0.7670 0.9132 0.5788
8 Ho 0.8575 0.5000 0.9363
9 Ti 0.0309 0.4112 0.6208
10 Ti 0.0703 0.9249 0.8210
11 Ti 0.4103 0.4366 0.1723
12 Ti 0.4708 0.9099 0.3760
13 Ti 0.5292 0.4099 0.6240
14 Ti 0.5897 0.9366 0.8277
15 Ti 0.9297 0.4249 0.1790
16 Ti 0.9691 0.9112 0.3792
17 O 0.0119 0.0745 0.6790
18 O 0.0611 0.6837 0.5248
19 O 0.0744 0.2039 0.9084
20 O 0.1298 0.5933 0.7323
21 O 0.1372 0.7071 0.9317
22 O 0.1727 0.3143 0.1868
23 O 0.2211 0.9904 0.3836
24 O 0.2714 0.2920 0.5873
25 O 0.3271 0.0193 0.8061
26 O 0.3664 0.7357 0.1150
27 O 0.4110 0.2275 0.0530
28 O 0.4247 0.5728 0.3223
29 O 0.4522 0.6814 0.5260
30 O 0.4848 0.5925 0.7348
31 O 0.5152 0.0925 0.2652
32 O 0.5478 0.1814 0.4740
33 O 0.5753 0.0728 0.6777
34 O 0.5890 0.7275 0.9470
35 O 0.6336 0.2357 0.8850
36 O 0.6729 0.5193 0.1939
37 O 0.7286 0.7920 0.4127
38 O 0.7789 0.4904 0.6164
39 O 0.8273 0.8143 0.8132
40 O 0.8628 0.2071 0.0683
41 O 0.8702 0.0933 0.2677
42 O 0.9256 0.7039 0.0916
43 O 0.9389 0.1837 0.4752
44 O 0.9881 0.5745 0.3210

=====

2.
This entry pairs a crystal structure of Li2CdGe with its simulated powder diffractogram. Radiation: Cu Kα (weighted mean of Kα1 and Kα2). Structure: DFT lattice parameters and positions (PBE).

The 12 most intense peaks (10° ≤ 2θ ≤ 90°), sorted by position:
23.89 deg, intensity 9
27.65 deg, intensity 100
39.51 deg, intensity 95
46.70 deg, intensity 4
48.90 deg, intensity 27
57.11 deg, intensity 16
62.78 deg, intensity 2
64.60 deg, intensity 34
71.66 deg, intensity 31
76.76 deg, intensity 1
85.06 deg, intensity 10
89.97 deg, intensity 1

Atomic structure:
Cell: 6.4517 6.4517 6.4517 Å, 90.00 90.00 90.00°
Sites, in units of the cell vectors:
1 Li 0.2500 0.2500 0.2500
2 Li 0.2500 0.2500 0.7500
3 Li 0.2500 0.7500 0.2500
4 Li 0.2500 0.7500 0.7500
5 Li 0.7500 0.2500 0.2500
6 Li 0.7500 0.2500 0.7500
7 Li 0.7500 0.7500 0.2500
8 Li 0.7500 0.7500 0.7500
9 Cd 0.0000 0.0000 0.0000
10 Cd 0.0000 0.5000 0.5000
11 Cd 0.5000 0.0000 0.5000
12 Cd 0.5000 0.5000 0.0000
13 Ge 0.0000 0.0000 0.5000
14 Ge 0.0000 0.5000 0.0000
15 Ge 0.5000 0.0000 0.0000
16 Ge 0.5000 0.5000 0.5000

=====

3.
This entry pairs a crystal structure of Ca2Ti2O5 with its simulated powder diffractogram. Radiation: Cu Kα (weighted mean of Kα1 and Kα2). Structure: DFT lattice parameters and positions (PBE).

The 12 most intense peaks (10° ≤ 2θ ≤ 90°), sorted by position:
32.91 deg, intensity 100
33.49 deg, intensity 40
33.90 deg, intensity 37
46.04 deg, intensity 32
48.40 deg, intensity 38
58.12 deg, intensity 14
58.39 deg, intensity 14
59.50 deg, intensity 21
60.03 deg, intensity 23
69.01 deg, intensity 23
76.82 deg, intensity 8
80.40 deg, intensity 9

Atomic structure:
Cell: 5.3514 10.5766 3.9431 Å, 90.00 90.00 90.00°
Sites, in units of the cell vectors:
1 Ca 0.2337 0.1172 0.0000
2 Ca 0.2663 0.6172 0.0000
3 Ca 0.7337 0.3828 0.0000
4 Ca 0.7663 0.8828 0.0000
5 Ti 0.2238 0.3724 0.5000
6 Ti 0.2762 0.8724 0.5000
7 Ti 0.7238 0.1276 0.5000
8 Ti 0.7762 0.6276 0.5000
9 O 0.0000 0.0000 0.5000
10 O 0.1062 0.7123 0.5000
11 O 0.2044 0.3877 0.0000
12 O 0.2956 0.8877 0.0000
13 O 0.3938 0.2123 0.5000
14 O 0.5000 0.5000 0.5000
15 O 0.6062 0.7877 0.5000
16 O 0.7044 0.1123 0.0000
17 O 0.7956 0.6123 0.0000
18 O 0.8938 0.2877 0.5000

=====

4.
This entry pairs a crystal structure of Cs2HgSbF6 with its simulated powder diffractogram. Radiation: Cu Kα (weighted mean of Kα1 and Kα2). Structure: DFT lattice parameters and positions (PBE).

The 12 most intense peaks (10° ≤ 2θ ≤ 90°), sorted by position:
17.85 deg, intensity 4
25.34 deg, intensity 100
29.81 deg, intensity 3
36.15 deg, intensity 30
39.52 deg, intensity 3
44.66 deg, intensity 41
52.05 deg, intensity 20
58.75 deg, intensity 22
65.01 deg, intensity 6
70.96 deg, intensity 24
82.31 deg, intensity 11
87.85 deg, intensity 8

Atomic structure:
Cell: 7.0286 7.0286 7.0286 Å, 60.00 60.00 60.00°
Sites, in units of the cell vectors:
1 Cs 0.2500 0.2500 0.2500
2 Cs 0.7500 0.7500 0.7500
3 Hg 0.0000 0.0000 0.0000
4 Sb 0.5000 0.5000 0.5000
5 F 0.2902 0.2902 0.7098
6 F 0.2902 0.7098 0.2902
7 F 0.2902 0.7098 0.7098
8 F 0.7098 0.2902 0.2902
9 F 0.7098 0.2902 0.7098
10 F 0.7098 0.7098 0.2902

=====

5.
This entry pairs a crystal structure of C2S3 with its simulated powder diffractogram. Radiation: Cu Kα (weighted mean of Kα1 and Kα2). Structure: DFT lattice parameters and positions (PBE).

The 12 most intense peaks (10° ≤ 2θ ≤ 90°), sorted by position:
15.23 deg, intensity 26
18.62 deg, intensity 30
20.22 deg, intensity 72
21.08 deg, intensity 59
23.56 deg, intensity 100
28.07 deg, intensity 71
29.00 deg, intensity 92
30.06 deg, intensity 32
30.80 deg, intensity 23
31.84 deg, intensity 27
32.67 deg, intensity 33
46.82 deg, intensity 29

Atomic structure:
Cell: 6.1148 6.7002 11.3944 Å, 90.00 107.97 90.00°
Sites, in units of the cell vectors:
1 C 0.0693 0.0046 0.4626
2 C 0.0693 0.4954 0.9626
3 C 0.2107 0.6938 0.6023
4 C 0.2107 0.8062 0.1023
5 C 0.7893 0.1938 0.8977
6 C 0.7893 0.3062 0.3977
7 C 0.9307 0.5046 0.0374
8 C 0.9307 0.9954 0.5374
9 S 0.0189 0.2007 0.3586
10 S 0.0189 0.2993 0.8586
11 S 0.2749 0.6811 0.9822
12 S 0.2749 0.8189 0.4822
13 S 0.3541 0.0027 0.1733
14 S 0.3541 0.4973 0.6733
15 S 0.6459 0.5027 0.3267
16 S 0.6459 0.9973 0.8267
17 S 0.7251 0.1811 0.5178
18 S 0.7251 0.3189 0.0178
19 S 0.9811 0.7007 0.1414
20 S 0.9811 0.7993 0.6414

=====

6.
This entry pairs a crystal structure of Cs4MgTi2Ag4S8 with its simulated powder diffractogram. Radiation: Cu Kα (weighted mean of Kα1 and Kα2). Structure: DFT lattice parameters and positions (PBE).

The 12 most intense peaks (10° ≤ 2θ ≤ 90°), sorted by position:
19.13 deg, intensity 24
21.89 deg, intensity 22
22.94 deg, intensity 35
26.01 deg, intensity 38
27.22 deg, intensity 35
28.69 deg, intensity 48
31.10 deg, intensity 20
31.22 deg, intensity 100
38.28 deg, intensity 17
42.53 deg, intensity 22
44.03 deg, intensity 17
49.27 deg, intensity 40

Atomic structure:
Cell: 6.3391 6.3391 13.7013 Å, 90.00 90.00 95.78°
Sites, in units of the cell vectors:
1 Cs 0.1788 0.8212 0.0000
2 Cs 0.2318 0.2318 0.5000
3 Cs 0.7682 0.7682 0.5000
4 Cs 0.8212 0.1788 0.0000
5 Mg 0.5000 0.5000 0.0000
6 Ti 0.5000 0.5000 0.2548
7 Ti 0.5000 0.5000 0.7452
8 Ag 0.0000 0.5000 0.2499
9 Ag 0.0000 0.5000 0.7501
10 Ag 0.5000 0.0000 0.2499
11 Ag 0.5000 0.0000 0.7501
12 S 0.2952 0.7048 0.3481
13 S 0.2952 0.7048 0.6519
14 S 0.2957 0.2957 0.1372
15 S 0.2957 0.2957 0.8628
16 S 0.7043 0.7043 0.1372
17 S 0.7043 0.7043 0.8628
18 S 0.7048 0.2952 0.3481
19 S 0.7048 0.2952 0.6519